MgCr2Cu: computed PXRD pattern (λ = 1.5418 Å (Cu Kα)), based on a structure optimized by DFT (GGA-PBE).

Top 10 peaks for 5° ≤ 2θ ≤ 70°, low angle first:
Position (°2θ)	I (rel.)
10.54	44
21.18	7
36.74	4
41.60	29
42.79	100
43.11	23
49.50	9
61.46	13
62.77	8
67.71	3

Structure:
abc: 2.628 2.628 8.391
angles: 90.00 90.00 111.43
Positions (direct):
Mg1 0.000 0.000 0.000
Cr1 0.000 0.000 0.512
Cr2 0.500 0.500 0.720
Cu1 0.500 0.500 0.265